Computed powder XRD pattern of PmTh2N3 for Cu Kα (weighted mean of Kα1 and Kα2), from a DFT-relaxed cell (PBE, Alexandria).
Neutral-atom scattering factors, no anomalous dispersion.

Unit cell a=6.3236 b=6.3236 c=6.3236 alpha=146.46 beta=132.04 gamma=59.79
Fractional coordinates of all 6 atoms:
Pm  0.0000  0.0000  0.0000
Th  0.3346  0.3346  0.0000
Th  0.6654  0.6654  0.0000
N  0.1732  0.6732  0.5000
N  0.5000  0.0000  0.5000
N  0.8268  0.3268  0.5000

Principal peaks in the range 10 to 80 degrees two-theta, by intensity:
Position (°2θ)	I/Imax
30.0	100
34.7	45
50.1	32
59.4	31
34.9	22
62.4	17
49.9	16
59.6	16
73.3	5
19.1	3

***

Computed powder XRD pattern of Ca2GeTe4Pb for Cu Kα (weighted mean of Kα1 and Kα2), from a DFT-relaxed cell (PBE, Alexandria).
Neutral-atom scattering factors, no anomalous dispersion.

Unit cell a=7.8006 b=4.4927 c=7.8301 alpha=90.00 beta=109.31 gamma=90.00
Fractional coordinates of all 8 atoms:
Ca  0.0000  0.0000  0.0000
Ca  0.5000  0.5000  0.0000
Ge  0.0000  0.5000  0.5000
Te  0.2356  0.0000  0.7417
Te  0.2380  0.5000  0.2492
Te  0.7620  0.5000  0.7508
Te  0.7644  0.0000  0.2583
Pb  0.5000  0.0000  0.5000

Principal peaks in the range 10 to 80 degrees two-theta, by intensity:
Position (°2θ)	I/Imax
28.0	100
39.9	38
40.1	38
12.0	14
49.7	14
57.9	12
65.4	11
65.6	11
72.8	10
49.3	7

***

Computed powder XRD pattern of Ac2LaSm8 for Cu Kα (weighted mean of Kα1 and Kα2), from a DFT-relaxed cell (PBE, Alexandria).
Neutral-atom scattering factors, no anomalous dispersion.

Unit cell a=9.7803 b=9.7803 c=8.2968 alpha=104.91 beta=104.91 gamma=31.26
Fractional coordinates of all 11 atoms:
Ac  0.2268  0.2268  0.1411
Ac  0.7732  0.7732  0.8589
La  0.5000  0.5000  0.5000
Sm  0.0424  0.0424  0.2263
Sm  0.1343  0.1343  0.6730
Sm  0.3206  0.3206  0.5947
Sm  0.4120  0.4120  0.0460
Sm  0.5880  0.5880  0.9540
Sm  0.6794  0.6794  0.4053
Sm  0.8657  0.8657  0.3270
Sm  0.9576  0.9576  0.7737

Principal peaks in the range 10 to 80 degrees two-theta, by intensity:
Position (°2θ)	I/Imax
29.5	100
49.2	18
34.0	17
34.2	17
34.4	17
58.1	15
58.3	15
58.6	14
61.2	13
49.0	12

***

Computed powder XRD pattern of TmNbSi2Ru for Cu Kα (weighted mean of Kα1 and Kα2), from a DFT-relaxed cell (PBE, Alexandria).
Neutral-atom scattering factors, no anomalous dispersion.

Unit cell a=6.1523 b=6.1523 c=6.1523 alpha=141.95 beta=141.95 gamma=54.90
Fractional coordinates of all 5 atoms:
Tm  0.0000  0.0000  0.0000
Nb  0.7500  0.2500  0.5000
Si  0.3918  0.3918  0.0000
Si  0.6082  0.6082  0.0000
Ru  0.2500  0.7500  0.5000

Principal peaks in the range 10 to 80 degrees two-theta, by intensity:
Position (°2θ)	I/Imax
35.7	100
45.2	32
33.2	32
23.6	29
32.8	22
77.2	21
57.0	18
60.4	17
47.4	15
57.3	13

***

Computed powder XRD pattern of Al3Ni2Ir for Cu Kα (weighted mean of Kα1 and Kα2), from a DFT-relaxed cell (PBE, Alexandria).
Neutral-atom scattering factors, no anomalous dispersion.

Unit cell a=2.9453 b=2.9453 c=8.7727 alpha=90.00 beta=90.00 gamma=90.00
Fractional coordinates of all 6 atoms:
Al  0.0000  0.0000  0.0000
Al  0.0000  0.0000  0.3216
Al  0.0000  0.0000  0.6784
Ni  0.5000  0.5000  0.1609
Ni  0.5000  0.5000  0.8391
Ir  0.5000  0.5000  0.5000

Principal peaks in the range 10 to 80 degrees two-theta, by intensity:
Position (°2θ)	I/Imax
43.6	100
10.1	67
43.5	51
30.3	48
79.9	33
30.6	24
32.1	22
36.8	20
54.1	19
20.2	17